Theoretical powder XRD pattern
Compound: MnReGe
Radiation: Cu Ka
Structure: a PBE-relaxed structure

Crystal structure
abc: 4.6987 2.7989 6.4850
angles: 90.00 95.23 90.00
Space group P2/m (No. 10)
One atom of each set of equivalent atoms:
Mn  0.2362  0.0000  0.3457 [2 per cell]
Re  0.0000  0.5000  0.0000 [1 per cell]
Re  0.5000  0.0000  0.0000 [1 per cell]
Ge  0.2702  0.5000  0.6711 [2 per cell]

Top 10 peaks for 15° ≤ 2θ ≤ 90°, in order of rising 2θ:
| index | two_theta | I (rel.) |
| --- | --- | --- |
| 0 0 2 | 27.6 | 22.5 |
| 1 1 0 | 37.4 | 39.5 |
| 2 0 -1 | 39.8 | 43.8 |
| 1 1 1 | 40.7 | 100.0 |
| 0 0 3 | 42.0 | 49.0 |
| 2 0 1 | 42.3 | 24.9 |
| 2 0 -2 | 45.8 | 18.7 |
| 1 1 -2 | 46.0 | 71.2 |
| 2 0 2 | 50.2 | 21.4 |
| 1 1 4 | 72.0 | 18.4 |



Theoretical powder XRD pattern
Compound: LaCeS
Radiation: Cu Ka
Structure: a PBE-relaxed structure

Crystal structure
abc: 8.5883 10.7382 7.5288
angles: 90.00 90.00 90.00
Space group Cmce (No. 64)
One atom of each set of equivalent atoms:
La  0.2107  0.0000  0.0000 [8 per cell]
Ce  0.0000  0.1993  0.3441 [8 per cell]
S  0.0000  0.0636  0.7051 [8 per cell]

Top 10 peaks for 15° ≤ 2θ ≤ 90°, in order of rising 2θ:
| index | two_theta | I (rel.) |
| --- | --- | --- |
| 2 2 0 | 26.6 | 100.0 |
| 1 1 2 | 27.2 | 58.0 |
| 0 2 2 | 29.0 | 46.8 |
| 1 3 1 | 29.5 | 30.7 |
| 2 0 2 | 31.6 | 59.8 |
| 3 1 1 | 34.5 | 36.3 |
| 0 4 1 | 35.5 | 21.8 |
| 2 4 1 | 41.4 | 28.0 |
| 4 0 0 | 42.1 | 21.7 |
| 3 3 3 | 55.0 | 23.3 |



Theoretical powder XRD pattern
Compound: Mg3CuSn2S8
Radiation: Cu Ka
Structure: a PBE-relaxed structure

Crystal structure
abc: 7.4101 7.6110 10.5249
angles: 90.00 90.00 90.00
Space group Imm2 (No. 44)
One atom of each set of equivalent atoms:
Mg  0.0000  0.0000  0.0000 [2 per cell]
Mg  0.2488  0.0000  0.3940 [4 per cell]
Cu  0.0000  0.5000  0.2840 [2 per cell]
Sn  0.0000  0.2499  0.6430 [4 per cell]
S  0.0000  0.2409  0.4005 [4 per cell]
S  0.0000  0.2712  0.8827 [4 per cell]
S  0.2408  0.5000  0.6494 [4 per cell]
S  0.2483  0.0000  0.6431 [4 per cell]

Top 10 peaks for 15° ≤ 2θ ≤ 90°, in order of rising 2θ:
| index | two_theta | I (rel.) |
| --- | --- | --- |
| 0 0 2 | 16.8 | 26.5 |
| 2 0 0 | 24.0 | 30.8 |
| 1 2 1 | 27.7 | 100.0 |
| 1 0 3 | 28.1 | 48.9 |
| 2 2 0 | 33.8 | 67.4 |
| 0 0 4 | 34.1 | 33.9 |
| 3 2 1 | 44.6 | 35.0 |
| 0 4 0 | 47.8 | 23.5 |
| 2 2 4 | 48.7 | 87.6 |
| 4 0 0 | 49.2 | 22.2 |



Theoretical powder XRD pattern
Compound: La3Pd6Au2
Radiation: Cu Ka
Structure: a PBE-relaxed structure

Crystal structure
abc: 9.8367 9.8367 9.8367
angles: 90.00 90.00 90.00
Space group Im-3m (No. 229)
One atom of each set of equivalent atoms:
La  0.0000  0.0000  0.2992 [12 per cell]
Pd  0.0000  0.3464  0.3464 [24 per cell]
Au  0.2500  0.2500  0.2500 [8 per cell]

Top 10 peaks for 15° ≤ 2θ ≤ 90°, in order of rising 2θ:
| index | two_theta | I (rel.) |
| --- | --- | --- |
| 2 2 2 | 31.5 | 47.1 |
| 3 2 1 | 34.1 | 20.5 |
| 4 0 0 | 36.5 | 20.7 |
| 3 3 0 | 38.8 | 100.0 |
| 4 2 0 | 41.0 | 42.4 |
| 4 2 2 | 45.2 | 16.3 |
| 6 2 0 | 59.4 | 14.4 |
| 6 2 2 | 62.6 | 22.4 |
| 6 3 3 | 70.3 | 28.6 |
| 6 6 0 | 83.4 | 14.3 |



Theoretical powder XRD pattern
Compound: ErTm8Sc6
Radiation: Cu Ka
Structure: a PBE-relaxed structure

Crystal structure
abc: 8.6171 8.6171 19.7905
angles: 90.00 90.00 120.00
Space group R-3 (No. 148, hexagonal axes)
One atom of each set of equivalent atoms:
Er  0.0000  0.0000  0.0000 [3 per cell]
Tm  0.0000  0.0000  0.4216 [6 per cell]
Tm  0.0812  0.5233  0.8081 [18 per cell]
Sc  0.0512  0.8100  0.7057 [18 per cell]

Top 10 peaks for 15° ≤ 2θ ≤ 90°, in order of rising 2θ:
| index | two_theta | I (rel.) |
| --- | --- | --- |
| 2 1 1 | 32.1 | 28.3 |
| 2 0 5 | 33.0 | 100.0 |
| 1 0 7 | 33.9 | 30.3 |
| 3 -1 4 | 36.7 | 12.3 |
| 0 3 3 | 38.7 | 15.9 |
| 2 2 0 | 41.9 | 9.2 |
| 0 3 6 | 45.7 | 10.2 |
| 4 -1 5 | 49.7 | 9.2 |
| 0 3 9 | 55.8 | 10.9 |
| 5 -2 7 | 63.5 | 13.6 |



Theoretical powder XRD pattern
Compound: TiAuS
Radiation: Cu Ka
Structure: a PBE-relaxed structure

Crystal structure
abc: 4.0596 4.0596 19.6318
angles: 90.00 90.00 120.00
Space group P-3m1 (No. 164)
One atom of each set of equivalent atoms:
Ti  0.3333  0.6667  0.0462 [2 per cell]
Ti  0.3333  0.6667  0.6101 [2 per cell]
Au  0.3333  0.6667  0.3195 [2 per cell]
Au  0.3333  0.6667  0.4616 [2 per cell]
S  0.3333  0.6667  0.7291 [2 per cell]
S  0.3333  0.6667  0.9220 [2 per cell]

Top 10 peaks for 15° ≤ 2θ ≤ 90°, in order of rising 2θ:
| index | two_theta | I (rel.) |
| --- | --- | --- |
| 1 0 0 | 25.3 | 72.0 |
| 0 1 1 | 25.7 | 57.5 |
| 0 1 2 | 26.9 | 44.2 |
| 0 1 6 | 37.6 | 38.7 |
| 1 0 7 | 41.2 | 100.0 |
| 1 1 0 | 44.6 | 61.8 |
| 1 1 1 | 44.9 | 24.0 |
| 1 0 8 | 45.1 | 26.4 |
| 0 2 7 | 62.3 | 28.9 |
| 2 1 7 | 79.9 | 28.9 |



Theoretical powder XRD pattern
Compound: CaAc2Si
Radiation: Cu Ka
Structure: a PBE-relaxed structure

Crystal structure
abc: 8.2147 9.8649 7.0529
angles: 90.00 90.00 90.00
Space group Pnma (No. 62)
One atom of each set of equivalent atoms:
Ca  0.0375  0.2500  0.1390 [4 per cell]
Ac  0.1773  0.0595  0.6567 [8 per cell]
Si  0.1261  0.7500  0.4641 [4 per cell]

Top 10 peaks for 15° ≤ 2θ ≤ 90°, in order of rising 2θ:
| index | two_theta | I (rel.) |
| --- | --- | --- |
| 0 2 0 | 18.0 | 62.2 |
| 2 0 1 | 25.1 | 67.9 |
| 1 0 2 | 27.5 | 100.0 |
| 2 2 0 | 28.3 | 38.9 |
| 0 3 1 | 30.0 | 77.1 |
| 2 2 1 | 31.0 | 61.0 |
| 1 3 1 | 31.9 | 51.4 |
| 1 2 2 | 33.1 | 66.7 |
| 2 3 0 | 35.0 | 42.6 |
| 3 3 2 | 50.5 | 42.3 |



Theoretical powder XRD pattern
Compound: PuPa8
Radiation: Cu Ka
Structure: a PBE-relaxed structure

Crystal structure
abc: 12.0931 11.7019 3.2178
angles: 90.00 105.26 90.00
Space group C2/m (No. 12)
One atom of each set of equivalent atoms:
Pu  0.0000  0.0000  0.0000 [2 per cell]
Pa  0.0000  0.3331  0.0000 [4 per cell]
Pa  0.1655  0.1655  0.6654 [8 per cell]
Pa  0.1670  0.5000  0.6671 [4 per cell]

Top 10 peaks for 15° ≤ 2θ ≤ 90°, in order of rising 2θ:
| index | two_theta | I (rel.) |
| --- | --- | --- |
| 3 3 0 | 32.5 | 88.3 |
| 2 0 1 | 36.2 | 100.0 |
| 4 0 -1 | 36.3 | 33.1 |
| 0 6 0 | 46.6 | 16.7 |
| 6 0 0 | 46.7 | 16.5 |
| 2 6 1 | 60.4 | 15.7 |
| 5 3 1 | 60.4 | 31.3 |
| 7 3 -1 | 60.6 | 15.5 |
| 1 3 2 | 67.3 | 11.4 |
| 4 0 2 | 76.8 | 11.9 |